This entry pairs a crystal structure of NaMo2P3O12 with its simulated X-ray powder pattern. Radiation: a wavelength of 1.5418 Å. Structure: a PBE+U-relaxed structure.

Structural model:
a = 9.066 Å, b = 9.066 Å, c = 9.066 Å
α = 58.23°, β = 58.23°, γ = 58.23°
Fractional positions:
Na 0.000 0.000 0.000
Na 0.500 0.500 0.500
Mo 0.144 0.144 0.144
Mo 0.356 0.356 0.356
Mo 0.644 0.644 0.644
Mo 0.856 0.856 0.856
P 0.039 0.750 0.461
P 0.250 0.539 0.961
P 0.461 0.039 0.750
P 0.539 0.961 0.250
P 0.750 0.461 0.039
P 0.961 0.250 0.539
O 0.009 0.788 0.623
O 0.062 0.917 0.279
O 0.083 0.721 0.938
O 0.123 0.288 0.509
O 0.212 0.377 0.991
O 0.221 0.583 0.438
O 0.279 0.062 0.917
O 0.288 0.509 0.123
O 0.377 0.991 0.212
O 0.417 0.562 0.779
O 0.438 0.221 0.583
O 0.491 0.877 0.712
O 0.509 0.123 0.288
O 0.562 0.779 0.417
O 0.583 0.438 0.221
O 0.623 0.009 0.788
O 0.712 0.491 0.877
O 0.721 0.938 0.083
O 0.779 0.417 0.562
O 0.788 0.623 0.009
O 0.877 0.712 0.491
O 0.917 0.279 0.062
O 0.938 0.083 0.721
O 0.991 0.212 0.377

Main lines, by angle (15 to 90 degrees two-theta):
2θ = 19.60°, rel. 79
2θ = 20.13°, rel. 100
2θ = 23.40°, rel. 78
2θ = 28.24°, rel. 52
2θ = 31.30°, rel. 85
2θ = 34.93°, rel. 23
2θ = 35.24°, rel. 40
2θ = 44.99°, rel. 24
2θ = 47.85°, rel. 26
2θ = 55.09°, rel. 28